Structure and simulated X-ray powder pattern of Sm3TmTl4 (the GGA-PBE geometry in Alexandria; a wavelength of 1.5418 Å).
Neutral-atom scattering factors, no anomalous dispersion.

Principal peaks in the range 2θ from 10° to 90°, low angle first:
hkl 1 0 4, 32.93 deg, I = 1000; hkl 1 1 0, 33.25 deg, I = 497; hkl 0 0 8, 46.79 deg, I = 90; hkl 2 0 0, 47.73 deg, I = 183; hkl 1 1 8, 58.60 deg, I = 185; hkl 2 1 4, 59.21 deg, I = 380; hkl 2 0 8, 69.07 deg, I = 113; hkl 1 0 12, 77.95 deg, I = 73; hkl 3 0 4, 79.37 deg, I = 82; hkl 3 1 0, 79.55 deg, I = 85

Structural model:
abc: 3.811 3.811 15.533
angles: 90.00 90.00 90.00
Space group P4/mmm (No. 123)
Asymmetric unit:
Sm  0.000  0.000  0.000 (multiplicity 1)
Sm  0.000  0.000  0.256 (multiplicity 2)
Tm  0.000  0.000  0.500 (multiplicity 1)
Tl  0.500  0.500  0.128 (multiplicity 2)
Tl  0.500  0.500  0.384 (multiplicity 2)


Structure and simulated X-ray powder pattern of AcAl2PdAu5 (the GGA-PBE geometry in Alexandria; a wavelength of 1.5418 Å).
Neutral-atom scattering factors, no anomalous dispersion.

Principal peaks in the range 2θ from 10° to 90°, low angle first:
hkl 1 1 1, 27.69 deg, I = 321; hkl 1 1 2, 34.70 deg, I = 1000; hkl 2 0 0, 35.59 deg, I = 642; hkl 0 0 3, 35.92 deg, I = 150; hkl 2 2 0, 51.21 deg, I = 230; hkl 2 0 3, 51.46 deg, I = 219; hkl 3 1 2, 63.35 deg, I = 358; hkl 2 2 3, 64.13 deg, I = 115; hkl 1 1 5, 67.76 deg, I = 122; hkl 3 1 5, 89.72 deg, I = 127

Structural model:
abc: 5.045 5.045 7.501
angles: 90.00 90.00 90.00
Space group P4/mmm (No. 123)
Asymmetric unit:
Ac  0.000  0.000  0.000 (multiplicity 1)
Al  0.500  0.500  0.333 (multiplicity 2)
Pd  0.000  0.000  0.500 (multiplicity 1)
Au  0.000  0.500  0.294 (multiplicity 4)
Au  0.500  0.500  0.000 (multiplicity 1)


Structure and simulated X-ray powder pattern of Ce5GeSb4 (the GGA-PBE geometry in Alexandria; a wavelength of 1.5418 Å).
Neutral-atom scattering factors, no anomalous dispersion.

Principal peaks in the range 2θ from 10° to 90°, low angle first:
hkl 1 1 0, 28.36 deg, I = 1000; hkl 2 0 0, 40.54 deg, I = 757; hkl 2 0 10, 50.21 deg, I = 269; hkl 2 2 0, 58.63 deg, I = 85; hkl 0 0 20, 58.77 deg, I = 40; hkl 3 1 0, 66.39 deg, I = 232; hkl 1 1 20, 66.51 deg, I = 109; hkl 3 1 10, 73.75 deg, I = 249; hkl 4 0 0, 87.63 deg, I = 28; hkl 2 2 20, 87.76 deg, I = 53

Structural model:
abc: 4.454 4.454 31.424
angles: 90.00 90.00 90.00
Space group I4/mmm (No. 139)
Asymmetric unit:
Ce  0.000  0.000  0.000 (multiplicity 2)
Ce  0.000  0.000  0.200 (multiplicity 4)
Ce  0.000  0.000  0.404 (multiplicity 4)
Ge  0.000  0.000  0.500 (multiplicity 2)
Sb  0.000  0.000  0.100 (multiplicity 4)
Sb  0.000  0.000  0.302 (multiplicity 4)


Structure and simulated X-ray powder pattern of RbLaAuSe2 (the GGA-PBE geometry in Alexandria; a wavelength of 1.5418 Å).
Neutral-atom scattering factors, no anomalous dispersion.

Principal peaks in the range 2θ from 10° to 90°, low angle first:
hkl 1 0 0, 11.12 deg, I = 1000; hkl 2 0 0, 22.32 deg, I = 385; hkl 1 1 1, 24.08 deg, I = 242; hkl 1 1 -2, 28.44 deg, I = 511; hkl 1 1 2, 30.98 deg, I = 527; hkl 2 1 -2, 33.49 deg, I = 302; hkl 1 2 0, 37.15 deg, I = 221; hkl 2 1 2, 37.81 deg, I = 226; hkl 3 1 -2, 41.31 deg, I = 262; hkl 0 0 4, 42.91 deg, I = 193

Structural model:
abc: 8.056 5.080 8.535
angles: 90.00 98.91 90.00
Space group P2/c (No. 13)
Asymmetric unit:
Rb  0.000  0.137  0.250 (multiplicity 2)
La  0.500  0.491  0.750 (multiplicity 2)
Au  0.500  0.000  0.000 (multiplicity 2)
Se  0.257  0.341  0.967 (multiplicity 4)


Structure and simulated X-ray powder pattern of Rb2PaH2S4 (the GGA-PBE geometry in Alexandria; a wavelength of 1.5418 Å).
Neutral-atom scattering factors, no anomalous dispersion.

Principal peaks in the range 2θ from 10° to 90°, low angle first:
hkl 0 0 2, 11.13 deg, I = 863; hkl 0 1 1, 13.14 deg, I = 624; hkl 0 1 3, 20.57 deg, I = 965; hkl 0 2 0, 23.92 deg, I = 583; hkl 1 0 1, 24.87 deg, I = 553; hkl 1 1 2, 29.34 deg, I = 485; hkl 0 0 6, 33.81 deg, I = 347; hkl 1 2 1, 34.78 deg, I = 1000; hkl 1 1 4, 35.38 deg, I = 663; hkl 1 2 7, 53.43 deg, I = 365

Structural model:
abc: 3.675 7.439 15.905
angles: 90.00 90.00 90.00
Space group Immm (No. 71)
Asymmetric unit:
Rb  0.000  0.000  0.146 (multiplicity 4)
Pa  0.000  0.500  0.000 (multiplicity 2)
H  0.000  0.000  0.333 (multiplicity 4)
S  0.000  0.258  0.500 (multiplicity 4)
S  0.000  0.500  0.172 (multiplicity 4)


Structure and simulated X-ray powder pattern of Ac2NpPd2S6 (the GGA-PBE geometry in Alexandria; a wavelength of 1.5418 Å).
Neutral-atom scattering factors, no anomalous dispersion.

Principal peaks in the range 2θ from 10° to 90°, low angle first:
hkl 1 0 4, 24.50 deg, I = 159; hkl 1 1 0, 24.66 deg, I = 1000; hkl 0 1 5, 28.79 deg, I = 485; hkl 0 2 4, 35.04 deg, I = 211; hkl 2 0 5, 38.26 deg, I = 305; hkl 3 0 0, 43.39 deg, I = 315; hkl 1 2 5, 46.06 deg, I = 339; hkl 2 2 0, 50.56 deg, I = 241; hkl 3 1 5, 59.23 deg, I = 135; hkl 4 1 0, 68.79 deg, I = 143

Structural model:
abc: 7.2207 7.2207 17.8528
angles: 90.00 90.00 120.00
Space group R-3m (No. 166, hexagonal axes)
Asymmetric unit:
Ac  0.0000  0.0000  0.2266 (multiplicity 6)
Np  0.0000  0.0000  0.0000 (multiplicity 3)
Pd  0.0000  0.0000  0.3943 (multiplicity 6)
S  0.0270  0.5135  0.7607 (multiplicity 18)


Structure and simulated X-ray powder pattern of K2NaGe (the GGA-PBE geometry in Alexandria; a wavelength of 1.5418 Å).
Neutral-atom scattering factors, no anomalous dispersion.

Principal peaks in the range 2θ from 10° to 90°, low angle first:
hkl 1 1 -1, 15.97 deg, I = 776; hkl 2 0 -2, 20.91 deg, I = 491; hkl 2 1 -2, 24.21 deg, I = 565; hkl 3 0 0, 26.42 deg, I = 558; hkl 1 1 2, 28.69 deg, I = 1000; hkl 2 1 -3, 31.46 deg, I = 465; hkl 2 2 1, 34.37 deg, I = 378; hkl 2 1 2, 34.99 deg, I = 601; hkl 0 3 1, 38.35 deg, I = 502; hkl 2 0 -4, 38.46 deg, I = 389

Structural model:
abc: 11.140 7.328 9.364
angles: 90.00 114.68 90.00
Space group P2_1/c (No. 14)
Asymmetric unit:
K  0.176  0.250  0.089 (multiplicity 4)
K  0.215  0.722  0.357 (multiplicity 4)
Na  0.500  0.000  0.309 (multiplicity 4)
Ge  0.440  0.148  0.970 (multiplicity 4)


Structure and simulated X-ray powder pattern of Cs3U2I9 (the GGA-PBE geometry in Alexandria; a wavelength of 1.5418 Å).
Neutral-atom scattering factors, no anomalous dispersion.

Principal peaks in the range 2θ from 10° to 90°, low angle first:
hkl 0 1 2, 10.66 deg, I = 134; hkl 1 1 0, 11.75 deg, I = 303; hkl 0 0 6, 24.82 deg, I = 133; hkl 2 2 3, 26.73 deg, I = 1000; hkl 1 1 6, 27.54 deg, I = 142; hkl 2 2 6, 34.53 deg, I = 428; hkl 6 0 0, 41.53 deg, I = 336; hkl 2 2 9, 44.90 deg, I = 228; hkl 4 4 3, 50.08 deg, I = 170; hkl 6 0 12, 67.72 deg, I = 151

Structural model:
abc: 15.0661 15.0661 21.5202
angles: 90.00 90.00 120.00
Space group R-3c (No. 167, hexagonal axes)
Asymmetric unit:
Cs  0.0000  0.3421  0.2500 (multiplicity 18)
U  0.0000  0.0000  0.1630 (multiplicity 12)
I  0.0000  0.1686  0.7500 (multiplicity 18)
I  0.0042  0.1759  0.4105 (multiplicity 36)